# Ac2InCu2Pt5
Simulated PXRD pattern, copper Kα. Input: DFT lattice parameters and positions (GGA-PBE).

```
Ac2InCu2Pt5
1.0
9.9193 0.0000 0.0000
0.0000 9.9193 0.0000
0.0000 0.0000 3.9608
Ac In Cu Pt
4 2 4 10
Direct
0.1784 0.3216 0.0000 Ac
0.3216 0.8216 0.0000 Ac
0.6784 0.1784 0.0000 Ac
0.8216 0.6784 0.0000 Ac
0.0000 0.0000 0.0000 In
0.5000 0.5000 0.0000 In
0.1191 0.6191 0.0000 Cu
0.3809 0.1191 0.0000 Cu
0.6191 0.8809 0.0000 Cu
0.8809 0.3809 0.0000 Cu
0.0000 0.5000 0.5000 Pt
0.0630 0.7880 0.5000 Pt
0.2120 0.0630 0.5000 Pt
0.2880 0.5631 0.5000 Pt
0.4370 0.2880 0.5000 Pt
0.5000 0.0000 0.5000 Pt
0.5631 0.7120 0.5000 Pt
0.7120 0.4370 0.5000 Pt
0.7880 0.9370 0.5000 Pt
0.9370 0.2120 0.5000 Pt
```

Principal peaks in the range 2θ from 5° to 70°, by angle:
2θ (°), I (rel.)
30.3, 48.7
34.1, 34.5
36.5, 100.0
37.4, 65.4
39.9, 41.8
60.6, 32.9


# Ac12CuIr5
Simulated PXRD pattern, copper Kα. Input: DFT lattice parameters and positions (GGA-PBE).

```
Ac12CuIr5
1.0
3.7888 -6.6633 0.0000
3.7888 6.6633 0.0000
-0.0556 0.0000 14.0929
Ac Cu Ir
12 1 5
Direct
0.0022 0.6691 0.6104 Ac
0.1555 0.1555 0.1138 Ac
0.1574 0.5012 0.8868 Ac
0.3309 0.9978 0.3896 Ac
0.3355 0.3355 0.6108 Ac
0.4988 0.8426 0.1132 Ac
0.5012 0.1574 0.8868 Ac
0.6645 0.6645 0.3892 Ac
0.6691 0.0022 0.6104 Ac
0.8426 0.4988 0.1132 Ac
0.8445 0.8445 0.8862 Ac
0.9978 0.3309 0.3896 Ac
0.5000 0.5000 0.0000 Cu
0.0000 0.0000 0.5000 Ir
0.1661 0.8339 0.0000 Ir
0.3334 0.6666 0.5000 Ir
0.6666 0.3334 0.5000 Ir
0.8339 0.1661 0.0000 Ir
```

Principal peaks in the range 2θ from 5° to 70°, by angle:
2θ (°), I (rel.)
12.6, 57.6
24.3, 27.5
26.5, 100.0
30.1, 42.0
39.7, 35.6
41.6, 55.5


# Ac8CuIr4
Simulated PXRD pattern, copper Kα. Input: DFT lattice parameters and positions (GGA-PBE).

```
Ac8CuIr4
1.0
10.6252 -2.2228 0.0000
10.6252 2.2228 0.0000
-9.4410 0.0000 10.8449
Ac Cu Ir
8 1 4
Direct
0.0000 0.0000 0.0000 Ac
0.0260 0.0260 0.7471 Ac
0.2986 0.2986 0.9323 Ac
0.3364 0.3364 0.6901 Ac
0.3806 0.3806 0.4185 Ac
0.6278 0.6278 0.6096 Ac
0.7083 0.7083 0.0811 Ac
0.9541 0.9541 0.2698 Ac
0.8282 0.8282 0.5183 Cu
0.0085 0.0085 0.5201 Ir
0.3294 0.3294 0.1672 Ir
0.5233 0.5233 0.8870 Ir
0.8136 0.8136 0.8092 Ir
```

Principal peaks in the range 2θ from 5° to 70°, by angle:
2θ (°), I (rel.)
8.2, 58.2
11.0, 58.0
12.3, 58.8
26.1, 88.8
27.4, 100.0
42.5, 83.9


# Ac2CuIr2
Simulated PXRD pattern, copper Kα. Input: DFT lattice parameters and positions (GGA-PBE).

```
Ac2CuIr2
1.0
4.3664 0.0000 0.0000
0.0000 5.9912 0.0000
0.0000 0.0000 8.9673
Ac Cu Ir
4 2 4
Direct
0.0000 0.0000 0.1965 Ac
0.0000 0.0000 0.8035 Ac
0.5000 0.5000 0.3035 Ac
0.5000 0.5000 0.6965 Ac
0.0000 0.5000 0.0000 Cu
0.5000 0.0000 0.5000 Cu
0.0000 0.2477 0.5000 Ir
0.0000 0.7523 0.5000 Ir
0.5000 0.2523 0.0000 Ir
0.5000 0.7477 0.0000 Ir
```

Principal peaks in the range 2θ from 5° to 70°, by angle:
2θ (°), I (rel.)
25.2, 56.6
32.3, 72.4
36.1, 68.9
36.4, 73.0
37.8, 100.0
64.2, 48.3


# Ac6CuIr4
Simulated PXRD pattern, copper Kα. Input: DFT lattice parameters and positions (GGA-PBE).

```
Ac6CuIr4
1.0
2.1755 -7.1741 0.0000
2.1755 7.1741 0.0000
0.0000 0.0000 21.9616
Ac Cu Ir
12 2 8
Direct
0.0000 0.0000 0.0000 Ac
0.0000 0.0000 0.5000 Ac
0.1816 0.8184 0.7500 Ac
0.2698 0.7302 0.0820 Ac
0.2698 0.7302 0.4180 Ac
0.4627 0.5373 0.6578 Ac
0.4627 0.5373 0.8422 Ac
0.5373 0.4627 0.1578 Ac
0.5373 0.4627 0.3422 Ac
0.7302 0.2698 0.5820 Ac
0.7302 0.2698 0.9180 Ac
0.8184 0.1816 0.2500 Ac
0.1536 0.8464 0.2500 Cu
0.8464 0.1536 0.7500 Cu
0.0981 0.9019 0.6314 Ir
0.0981 0.9019 0.8686 Ir
0.3637 0.6363 0.5439 Ir
0.3637 0.6363 0.9561 Ir
0.6363 0.3637 0.0439 Ir
0.6363 0.3637 0.4561 Ir
0.9019 0.0981 0.1314 Ir
0.9019 0.0981 0.3686 Ir
```

Principal peaks in the range 2θ from 5° to 70°, by angle:
2θ (°), I (rel.)
27.4, 86.2
28.0, 51.2
28.9, 100.0
30.3, 73.8
41.1, 71.5
43.0, 70.1


# Ac2Cu6NiIr
Simulated PXRD pattern, copper Kα. Input: DFT lattice parameters and positions (GGA-PBE).

```
Ac2Cu6NiIr
1.0
6.0759 -2.4354 0.0000
6.0759 2.4354 0.0000
-5.7960 0.0000 6.2748
Ac Cu Ni Ir
2 6 1 1
Direct
0.0435 0.0435 0.3031 Ac
0.9565 0.9565 0.6969 Ac
0.0068 0.5056 0.7736 Cu
0.3374 0.3374 0.0848 Cu
0.4944 0.9932 0.2264 Cu
0.5056 0.0068 0.7736 Cu
0.6626 0.6626 0.9152 Cu
0.9932 0.4944 0.2264 Cu
0.5000 0.5000 0.0000 Ni
0.5000 0.5000 0.5000 Ir
```

Principal peaks in the range 2θ from 5° to 70°, by angle:
2θ (°), I (rel.)
29.3, 100.0
29.8, 64.5
40.8, 31.5
41.9, 36.7
42.3, 86.2
61.9, 29.0


# Ac4CuIrSe2
Simulated PXRD pattern, copper Kα. Input: DFT lattice parameters and positions (GGA-PBE).

```
Ac4CuIrSe2
1.0
7.5029 0.0000 0.0000
0.0000 4.3473 0.0000
-2.4691 0.0000 7.7820
Ac Cu Ir Se
4 1 1 2
Direct
0.2343 0.0000 0.2257 Ac
0.2472 0.5000 0.7715 Ac
0.7528 0.5000 0.2285 Ac
0.7657 0.0000 0.7743 Ac
0.5000 0.0000 0.0000 Cu
0.0000 0.5000 0.0000 Ir
0.0000 0.0000 0.5000 Se
0.5000 0.5000 0.5000 Se
```

Principal peaks in the range 2θ from 5° to 70°, by angle:
2θ (°), I (rel.)
24.9, 25.2
28.2, 100.0
28.3, 48.9
39.1, 58.7
41.7, 35.7
51.1, 29.3


# KAcCuO4
Simulated PXRD pattern, copper Kα. Input: DFT lattice parameters and positions (GGA-PBE).

```
KAcCuO4
1.0
6.2404 0.0000 0.0000
0.0000 5.1822 0.0000
-1.7107 0.0000 7.7319
K Ac Cu O
2 2 2 8
Direct
0.2319 0.2500 0.4614 K
0.7681 0.7500 0.5386 K
0.2490 0.2500 0.9435 Ac
0.7510 0.7500 0.0565 Ac
0.2828 0.7500 0.2178 Cu
0.7172 0.2500 0.7822 Cu
0.0573 0.7500 0.3266 O
0.1259 0.7500 0.9772 O
0.4874 0.0011 0.2118 O
0.4874 0.4989 0.2118 O
0.5126 0.5011 0.7882 O
0.5126 0.9989 0.7882 O
0.8741 0.2500 0.0228 O
0.9427 0.2500 0.6734 O
```

Principal peaks in the range 2θ from 5° to 70°, by angle:
2θ (°), I (rel.)
11.4, 100.0
20.6, 31.3
22.5, 34.7
29.3, 23.1
30.0, 43.2
34.7, 51.0


# KAcCu2O4
Simulated PXRD pattern, copper Kα. Input: DFT lattice parameters and positions (GGA-PBE).

```
KAcCu2O4
1.0
3.9904 0.0000 0.0000
0.0000 3.9904 0.0000
0.0000 0.0000 7.4911
K Ac Cu O
1 1 2 4
Direct
0.0000 0.0000 0.0000 K
0.0000 0.0000 0.5000 Ac
0.5000 0.5000 0.2579 Cu
0.5000 0.5000 0.7421 Cu
0.0000 0.5000 0.2787 O
0.0000 0.5000 0.7213 O
0.5000 0.0000 0.2787 O
0.5000 0.0000 0.7213 O
```

Principal peaks in the range 2θ from 5° to 70°, by angle:
2θ (°), I (rel.)
11.8, 64.5
25.3, 34.9
31.7, 37.6
32.8, 100.0
45.5, 26.6
57.2, 39.7


# KAc2CuSe4
Simulated PXRD pattern, copper Kα. Input: DFT lattice parameters and positions (GGA-PBE).

```
KAc2CuSe4
1.0
2.2079 -7.5590 0.0000
2.2079 7.5590 0.0000
0.0000 0.0000 15.1491
K Ac Cu Se
2 4 2 8
Direct
0.1071 0.8929 0.7500 K
0.8929 0.1071 0.2500 K
0.3649 0.6351 0.5625 Ac
0.3649 0.6351 0.9375 Ac
0.6351 0.3649 0.0625 Ac
0.6351 0.3649 0.4375 Ac
0.1606 0.8394 0.2500 Cu
0.8394 0.1606 0.7500 Cu
0.0000 0.0000 0.0000 Se
0.0000 0.0000 0.5000 Se
0.2645 0.7355 0.1201 Se
0.2645 0.7355 0.3799 Se
0.4312 0.5688 0.7500 Se
0.5688 0.4312 0.2500 Se
0.7355 0.2645 0.6201 Se
0.7355 0.2645 0.8799 Se
```

Principal peaks in the range 2θ from 5° to 70°, by angle:
2θ (°), I (rel.)
11.7, 53.7
13.1, 84.9
27.5, 74.3
29.4, 100.0
31.8, 51.0
40.3, 88.0


# Ac2LaCu2
Simulated PXRD pattern, copper Kα. Input: DFT lattice parameters and positions (GGA-PBE).

```
Ac2LaCu2
1.0
6.1046 -3.3439 0.0000
6.1046 3.3439 0.0000
-1.2440 0.0000 7.5070
Ac La Cu
4 2 4
Direct
0.0516 0.2530 0.1443 Ac
0.2530 0.0516 0.6443 Ac
0.7470 0.9484 0.3557 Ac
0.9484 0.7470 0.8557 Ac
0.4164 0.5836 0.2500 La
0.5836 0.4164 0.7500 La
0.1868 0.4902 0.4945 Cu
0.4902 0.1868 0.9945 Cu
0.5098 0.8132 0.0055 Cu
0.8132 0.5098 0.5055 Cu
```

Principal peaks in the range 2θ from 5° to 70°, by angle:
2θ (°), I (rel.)
25.9, 88.2
26.9, 39.6
27.2, 41.2
29.2, 100.0
30.0, 75.8
32.7, 38.6


# AcLaCuNi
Simulated PXRD pattern, copper Kα. Input: DFT lattice parameters and positions (GGA-PBE).

```
AcLaCuNi
1.0
4.5336 0.0000 0.0000
0.0000 4.0256 0.0000
0.0000 0.0000 11.1911
Ac La Cu Ni
2 2 2 2
Direct
0.0000 0.0000 0.0000 Ac
0.0000 0.5000 0.5000 Ac
0.5000 0.0000 0.7255 La
0.5000 0.5000 0.2255 La
0.5000 0.0000 0.4231 Cu
0.5000 0.5000 0.9231 Cu
0.0000 0.0000 0.2932 Ni
0.0000 0.5000 0.7932 Ni
```

Principal peaks in the range 2θ from 5° to 70°, by angle:
2θ (°), I (rel.)
25.3, 48.6
30.8, 100.0
32.7, 48.4
38.4, 51.7
39.8, 27.8
52.4, 40.0


# AcLa2Cu2Pb2
Simulated PXRD pattern, copper Kα. Input: DFT lattice parameters and positions (GGA-PBE).

```
AcLa2Cu2Pb2
1.0
2.3731 1.3701 9.8978
-2.3731 1.3701 9.8978
0.0000 -2.7402 9.8978
Ac La Cu Pb
1 2 2 2
Direct
0.0000 0.0000 0.0000 Ac
0.1398 0.1398 0.1398 La
0.8602 0.8602 0.8602 La
0.4319 0.4319 0.4319 Cu
0.5681 0.5681 0.5681 Cu
0.2616 0.2616 0.2616 Pb
0.7384 0.7384 0.7384 Pb
```

Principal peaks in the range 2θ from 5° to 70°, by angle:
2θ (°), I (rel.)
24.8, 26.6
30.3, 100.0
32.5, 47.7
37.9, 86.9
49.3, 26.0
63.8, 28.6